1.
Theoretical X-ray diffraction stick pattern
Compound: Li2Ti3O7
Radiation: CuKα
Structure: a structure optimized by DFT (PBE)

Crystal structure
Cell: 7.846 3.795 9.330 Å, 90.00 99.26 90.00°
Fractional positions:
Li  0.009  0.250  0.357
Li  0.198  0.750  0.085
Li  0.802  0.250  0.915
Li  0.991  0.750  0.643
Ti  0.225  0.250  0.831
Ti  0.343  0.250  0.524
Ti  0.456  0.250  0.222
Ti  0.544  0.750  0.778
Ti  0.657  0.750  0.476
Ti  0.775  0.750  0.169
O  0.011  0.250  0.847
O  0.144  0.250  0.601
O  0.260  0.250  0.329
O  0.292  0.750  0.826
O  0.319  0.250  0.048
O  0.409  0.750  0.552
O  0.492  0.250  0.750
O  0.508  0.750  0.250
O  0.591  0.250  0.448
O  0.681  0.750  0.952
O  0.708  0.250  0.174
O  0.740  0.750  0.671
O  0.856  0.750  0.399
O  0.989  0.750  0.153

Main lines, by angle (2θ = 5–70°):
Position (°2θ)	Rel. int.
11.43	100
16.10	36
26.15	68
28.57	25
29.09	26
37.09	29
42.74	30
47.95	35
54.04	20
66.15	13

2.
Theoretical X-ray diffraction stick pattern
Compound: KAs
Radiation: CuKα
Structure: a structure optimized by DFT (PBE)

Crystal structure
Cell: 4.192 5.012 6.923 Å, 90.00 90.00 90.00°
Fractional positions:
K  0.250  0.000  0.240
K  0.750  0.000  0.760
As  0.250  0.500  0.892
As  0.750  0.500  0.108

Main lines, by angle (2θ = 5–70°):
Position (°2θ)	Rel. int.
12.79	100
21.89	48
30.66	99
31.41	19
33.58	24
35.83	28
38.20	57
43.16	18
44.83	25
58.67	21

3.
Theoretical X-ray diffraction stick pattern
Compound: IrOs
Radiation: CuKα
Structure: a structure optimized by DFT (PBE)

Crystal structure
Cell: 2.757 2.757 4.390 Å, 90.00 90.00 120.00°
Fractional positions:
Ir  0.000  0.000  0.000
Os  0.667  0.333  0.500

Main lines, by angle (2θ = 5–70°):
Position (°2θ)	Rel. int.
37.67	24
41.12	25
43.13	100
56.99	15
68.00	18

4.
Theoretical X-ray diffraction stick pattern
Compound: Hg7P2O10
Radiation: CuKα
Structure: a structure optimized by DFT (PBE)

Crystal structure
Cell: 6.384 10.213 9.994 Å, 90.00 95.78 90.00°
Fractional positions:
Hg  0.000  0.000  0.000
Hg  0.000  0.500  0.500
Hg  0.261  0.139  0.648
Hg  0.261  0.361  0.148
Hg  0.309  0.617  0.809
Hg  0.309  0.883  0.309
Hg  0.484  0.651  0.412
Hg  0.484  0.849  0.912
Hg  0.516  0.151  0.088
Hg  0.516  0.349  0.588
Hg  0.691  0.117  0.691
Hg  0.691  0.383  0.191
Hg  0.739  0.639  0.852
Hg  0.739  0.861  0.352
P  0.000  0.149  0.353
P  0.000  0.351  0.853
P  0.000  0.649  0.147
P  0.000  0.851  0.647
O  0.002  0.708  0.707
O  0.002  0.792  0.207
O  0.039  0.658  0.996
O  0.039  0.842  0.496
O  0.180  0.567  0.227
O  0.180  0.933  0.727
O  0.223  0.094  0.338
O  0.223  0.406  0.838
O  0.313  0.533  0.563
O  0.313  0.967  0.063
O  0.687  0.033  0.937
O  0.687  0.467  0.437
O  0.777  0.594  0.162
O  0.777  0.906  0.662
O  0.820  0.067  0.273
O  0.820  0.433  0.773
O  0.961  0.158  0.504
O  0.961  0.342  0.004
O  0.998  0.208  0.793
O  0.998  0.292  0.293

Main lines, by angle (2θ = 5–70°):
Position (°2θ)	Rel. int.
19.54	38
19.86	100
23.27	42
28.31	55
30.71	30
31.66	40
31.87	43
33.68	35
35.19	60
49.56	32

> Which formula does entry 2 have?

KAs